No. 1
Simulated powder diffraction line list of DyAgP2O8 for CuKα, from a crystal structure in Alexandria, relaxed with GGA-PBE.

Main lines, most intense first (2θ from 10° to 80°):
- 2θ = 25.40°, rel. 100.0
- 2θ = 34.37°, rel. 63.5
- 2θ = 50.80°, rel. 51.5
- 2θ = 19.22°, rel. 49.8
- 2θ = 32.05°, rel. 21.0
- 2θ = 41.33°, rel. 20.8

Structural model:
abc: 5.832 5.832 5.832
angles: 106.07 106.07 116.51
Fractional positions:
Dy1 0.000 0.000 0.000
Ag1 0.250 0.750 0.500
P1 0.500 0.500 0.000
P2 0.750 0.250 0.500
O1 0.336 0.167 0.831
O2 0.336 0.504 0.169
O3 0.421 0.097 0.324
O4 0.496 0.664 0.831
O5 0.772 0.097 0.676
O6 0.833 0.664 0.169
O7 0.903 0.228 0.324
O8 0.903 0.579 0.676

---

No. 2
Simulated powder diffraction line list of Nd3Te3Br for CuKα, from a crystal structure in Alexandria, relaxed with GGA-PBE.

Main lines, most intense first (2θ from 10° to 80°):
- 2θ = 28.14°, rel. 100.0
- 2θ = 41.16°, rel. 65.7
- 2θ = 29.42°, rel. 41.0
- 2θ = 40.21°, rel. 38.1
- 2θ = 50.61°, rel. 36.0
- 2θ = 73.73°, rel. 23.2

Structural model:
abc: 4.485 4.485 12.142
angles: 90.00 90.00 90.00
Fractional positions:
Nd1 0.000 0.000 0.000
Nd2 0.500 0.500 0.261
Nd3 0.500 0.500 0.739
Te1 0.000 0.000 0.268
Te2 0.000 0.000 0.732
Te3 0.500 0.500 0.000
Br1 0.500 0.500 0.500

---

No. 3
Simulated powder diffraction line list of Ho8In3Co for CuKα, from a crystal structure in Alexandria, relaxed with GGA-PBE.

Main lines, most intense first (2θ from 10° to 80°):
- 2θ = 32.56°, rel. 100.0
- 2θ = 34.77°, rel. 95.0
- 2θ = 29.37°, rel. 37.5
- 2θ = 48.39°, rel. 24.7
- 2θ = 30.93°, rel. 21.1
- 2θ = 32.68°, rel. 20.1

Structural model:
abc: 10.320 10.320 6.979
angles: 90.00 90.00 120.00
Fractional positions:
Ho1 0.000 0.000 0.280
Ho2 0.000 0.000 0.780
Ho3 0.070 0.535 0.293
Ho4 0.178 0.357 0.000
Ho5 0.178 0.822 0.000
Ho6 0.333 0.667 0.684
Ho7 0.357 0.178 0.500
Ho8 0.465 0.535 0.293
Ho9 0.465 0.930 0.293
Ho10 0.535 0.070 0.793
Ho11 0.535 0.465 0.793
Ho12 0.643 0.822 0.000
Ho13 0.667 0.333 0.184
Ho14 0.822 0.178 0.500
Ho15 0.822 0.643 0.500
Ho16 0.930 0.465 0.793
In1 0.163 0.326 0.540
In2 0.163 0.837 0.540
In3 0.326 0.163 0.040
In4 0.674 0.837 0.540
In5 0.837 0.163 0.040
In6 0.837 0.674 0.040
Co1 0.333 0.667 0.071
Co2 0.667 0.333 0.571

---

No. 4
Simulated powder diffraction line list of NpBeAu3 for CuKα, from a crystal structure in Alexandria, relaxed with GGA-PBE.

Main lines, most intense first (2θ from 10° to 80°):
- 2θ = 34.24°, rel. 100.0
- 2θ = 42.54°, rel. 33.9
- 2θ = 72.53°, rel. 23.8
- 2θ = 33.58°, rel. 16.0
- 2θ = 55.26°, rel. 15.9
- 2θ = 61.74°, rel. 11.4

Structural model:
abc: 6.010 6.010 5.337
angles: 90.00 90.00 90.00
Fractional positions:
Np1 0.250 0.750 0.000
Np2 0.750 0.250 0.000
Be1 0.250 0.250 0.285
Be2 0.750 0.750 0.715
Au1 0.000 0.000 0.500
Au2 0.000 0.500 0.500
Au3 0.250 0.250 0.861
Au4 0.500 0.000 0.500
Au5 0.500 0.500 0.500
Au6 0.750 0.750 0.139

---

No. 5
Simulated powder diffraction line list of Ba4PuO6 for CuKα, from a crystal structure in Alexandria, relaxed with GGA-PBE.

Main lines, most intense first (2θ from 10° to 80°):
- 2θ = 27.51°, rel. 100.0
- 2θ = 27.63°, rel. 71.9
- 2θ = 27.09°, rel. 35.7
- 2θ = 39.04°, rel. 31.3
- 2θ = 48.16°, rel. 22.4
- 2θ = 48.73°, rel. 22.2

Structural model:
abc: 6.458 6.458 13.750
angles: 103.62 103.62 61.28
Fractional positions:
Ba1 0.093 0.534 0.846
Ba2 0.139 0.649 0.162
Ba3 0.207 0.793 0.500
Ba4 0.376 0.865 0.785
Ba5 0.534 0.093 0.346
Ba6 0.649 0.139 0.662
Ba7 0.793 0.207 0.000
Ba8 0.865 0.376 0.285
Pu1 0.483 0.882 0.072
Pu2 0.882 0.483 0.572
O1 0.021 0.712 0.681
O2 0.078 0.202 0.663
O3 0.200 0.521 0.334
O4 0.202 0.078 0.163
O5 0.209 0.878 0.942
O6 0.521 0.200 0.834
O7 0.561 0.577 0.135
O8 0.577 0.561 0.635
O9 0.670 0.773 0.484
O10 0.712 0.021 0.181
O11 0.773 0.670 0.984
O12 0.878 0.209 0.442

---

No. 6
Simulated powder diffraction line list of CsRb2AuF for CuKα, from a crystal structure in Alexandria, relaxed with GGA-PBE.

Main lines, most intense first (2θ from 10° to 80°):
- 2θ = 26.37°, rel. 100.0
- 2θ = 24.90°, rel. 37.2
- 2θ = 32.78°, rel. 35.0
- 2θ = 26.95°, rel. 34.4
- 2θ = 27.73°, rel. 22.5
- 2θ = 10.32°, rel. 21.1

Structural model:
abc: 8.870 8.870 10.412
angles: 90.00 90.00 150.04
Fractional positions:
Cs1 0.047 0.953 0.750
Cs2 0.953 0.047 0.250
Rb1 0.348 0.652 0.558
Rb2 0.348 0.652 0.942
Rb3 0.652 0.348 0.058
Rb4 0.652 0.348 0.442
Au1 0.267 0.733 0.250
Au2 0.733 0.267 0.750
F1 0.500 0.500 0.000
F2 0.500 0.500 0.500

---

No. 7
Simulated powder diffraction line list of Li2CaPuS4 for CuKα, from a crystal structure in Alexandria, relaxed with GGA-PBE.

Main lines, most intense first (2θ from 10° to 80°):
- 2θ = 18.08°, rel. 100.0
- 2θ = 32.85°, rel. 36.7
- 2θ = 37.74°, rel. 32.6
- 2θ = 46.38°, rel. 26.4
- 2θ = 28.89°, rel. 25.7
- 2θ = 15.75°, rel. 21.3

Structural model:
abc: 5.454 5.454 11.252
angles: 90.00 90.00 90.00
Fractional positions:
Li1 0.000 0.000 0.000
Li2 0.000 0.500 0.250
Li3 0.500 0.000 0.750
Li4 0.500 0.500 0.500
Ca1 0.000 0.500 0.750
Ca2 0.500 0.000 0.250
Pu1 0.000 0.000 0.500
Pu2 0.500 0.500 0.000
S1 0.000 0.000 0.267
S2 0.000 0.000 0.733
S3 0.000 0.500 0.002
S4 0.000 0.500 0.498
S5 0.500 0.000 0.502
S6 0.500 0.000 0.998
S7 0.500 0.500 0.233
S8 0.500 0.500 0.767